Structure and theoretical powder diffractogram of Rb3DyCl6 (a PBE-relaxed structure; a wavelength of 1.5418 Å).
Neutral-atom scattering factors, no anomalous dispersion.

Structure:
Cell: 11.507 11.507 11.507 Å, 90.00 90.00 90.00°
Space group Fm-3m (No. 225)
Unique sites:
Rb: 0.000 0.000 0.000 x4
Rb: 0.250 0.250 0.250 x8
Dy: 0.000 0.000 0.500 x4
Cl: 0.000 0.000 0.271 x24

The 10 most intense peaks (2θ from 10° to 90°), in order of rising 2θ:
two_theta  d_spacing  I_rel
13.3  6.643  18
15.4  5.753  22
21.8  4.068  100
31.1  2.877  67
38.3  2.349  45
44.5  2.034  45
50.1  1.819  25
60.2  1.538  27
73.6  1.286  18
86.2  1.128  15

---

Structure and theoretical powder diffractogram of Ba6Nb3HO14 (a PBE-relaxed structure; a wavelength of 1.5418 Å).
Neutral-atom scattering factors, no anomalous dispersion.

Structure:
Cell: 6.149 12.759 10.676 Å, 90.00 90.00 90.00°
Space group Pmn2_1 (No. 31)
Unique sites:
Ba: 0.000 0.005 0.000 x2
Ba: 0.000 0.172 0.678 x2
Ba: 0.000 0.332 0.058 x2
Ba: 0.000 0.587 0.334 x2
Ba: 0.000 0.665 0.959 x2
Ba: 0.000 0.857 0.676 x2
Nb: 0.000 0.097 0.346 x2
Nb: 0.000 0.507 0.655 x2
Nb: 0.000 0.859 0.339 x2
H: 0.000 0.324 0.337 x2
O: 0.000 0.153 0.179 x2
O: 0.000 0.396 0.303 x2
O: 0.000 0.404 0.781 x2
O: 0.000 0.647 0.710 x2
O: 0.000 0.772 0.189 x2
O: 0.000 0.984 0.487 x2
O: 0.226 0.973 0.269 x4
O: 0.229 0.788 0.427 x4
O: 0.241 0.168 0.420 x4
O: 0.243 0.493 0.551 x4

The 10 most intense peaks (2θ from 10° to 90°), in order of rising 2θ:
two_theta  d_spacing  I_rel
23.1  3.844  9
26.8  3.324  86
29.0  3.078  100
39.9  2.258  38
40.7  2.215  9
45.9  1.975  15
50.1  1.820  17
51.5  1.776  12
55.3  1.662  9
63.6  1.462  9

---

Structure and theoretical powder diffractogram of ZrAlCr3 (a PBE-relaxed structure; a wavelength of 1.5418 Å).
Neutral-atom scattering factors, no anomalous dispersion.

Structure:
Cell: 5.8997 5.8997 5.2793 Å, 90.00 90.00 120.00°
Space group P6_3/mmc (No. 194)
Unique sites:
Zr: 0.3333 0.6667 0.2500 x2
Al: 0.0000 0.0000 0.0000 x2
Cr: 0.2082 0.4163 0.7500 x6

The 10 most intense peaks (2θ from 10° to 90°), in order of rising 2θ:
two_theta  d_spacing  I_rel
17.4  5.109  17
30.3  2.950  30
34.0  2.640  40
35.1  2.555  15
38.4  2.345  27
39.2  2.300  100
49.7  1.836  29
50.3  1.814  23
56.8  1.621  15
64.3  1.449  21

---

Structure and theoretical powder diffractogram of BaMg6SnO8 (a PBE-relaxed structure; a wavelength of 1.5418 Å).
Neutral-atom scattering factors, no anomalous dispersion.

Structure:
Cell: 4.754 4.754 9.269 Å, 90.00 90.00 90.00°
Space group P4/mmm (No. 123)
Unique sites:
Ba: 0.000 0.000 0.000 x1
Mg: 0.000 0.500 0.258 x4
Mg: 0.500 0.500 0.000 x1
Mg: 0.500 0.500 0.500 x1
Sn: 0.000 0.000 0.500 x1
O: 0.000 0.000 0.265 x2
O: 0.000 0.500 0.000 x2
O: 0.000 0.500 0.500 x2
O: 0.500 0.500 0.255 x2

The 10 most intense peaks (2θ from 10° to 90°), in order of rising 2θ:
two_theta  d_spacing  I_rel
18.7  4.754  81
19.2  4.634  39
26.5  3.361  35
26.9  3.318  69
32.9  2.721  75
37.9  2.377  100
38.9  2.317  45
47.0  1.932  31
54.6  1.681  32
55.4  1.659  60

---

Structure and theoretical powder diffractogram of SiO2 (a PBE-relaxed structure; a wavelength of 1.5418 Å).
Neutral-atom scattering factors, no anomalous dispersion.

Structure:
Cell: 9.2110 9.2110 5.2546 Å, 90.00 90.00 120.00°
Space group P6_3/mmc (No. 194)
Unique sites:
Si: 0.1170 0.5585 0.2500 x6
O: 0.0000 0.5000 0.0000 x6
O: 0.2374 0.4747 0.2500 x6

The 10 most intense peaks (2θ from 10° to 90°), in order of rising 2θ:
two_theta  d_spacing  I_rel
11.1  7.977  100
20.2  4.388  60
22.3  3.988  29
33.7  2.659  10
34.1  2.627  3
34.3  2.615  14
53.6  1.711  3
54.2  1.692  4
71.1  1.325  5
72.3  1.308  4

---

Structure and theoretical powder diffractogram of Li3FeS3 (a PBE-relaxed structure; a wavelength of 1.5418 Å).
Neutral-atom scattering factors, no anomalous dispersion.

Structure:
Cell: 7.058 11.369 6.315 Å, 90.00 102.35 90.00°
Space group C2/m (No. 12)
Unique sites:
Li: 0.000 0.174 0.000 x4
Li: 0.000 0.251 0.500 x4
Li: 0.085 0.500 0.842 x4
Fe: 0.175 0.000 0.635 x4
S: 0.117 0.000 0.269 x4
S: 0.170 0.339 0.238 x8

The 10 most intense peaks (2θ from 10° to 90°), in order of rising 2θ:
two_theta  d_spacing  I_rel
14.4  6.169  24
15.0  5.896  39
15.6  5.685  59
18.8  4.715  100
21.3  4.180  26
26.8  3.323  72
28.9  3.084  35
31.9  2.806  26
42.0  2.152  35
46.2  1.965  39

---

Structure and theoretical powder diffractogram of TaN (a PBE-relaxed structure; a wavelength of 1.5418 Å).
Neutral-atom scattering factors, no anomalous dispersion.

Structure:
Cell: 2.9540 2.9540 2.9015 Å, 90.00 90.00 120.00°
Space group P-6m2 (No. 187)
Unique sites:
Ta: 0.0000 0.0000 0.0000 x1
N: 0.3333 0.6667 0.5000 x1

The 9 most intense peaks (2θ from 10° to 90°), in order of rising 2θ:
two_theta  d_spacing  I_rel
30.8  2.901  43
35.1  2.558  100
47.4  1.919  100
62.9  1.477  22
64.2  1.451  7
71.7  1.316  25
74.1  1.279  12
75.3  1.262  23
82.4  1.170  20